Simulated powder diffractogram
Compound: TbPd5Pb
Radiation: λ = 1.5418 Å (Cu Kα)
Structure: a cell relaxed with PBE

Structural model:
```
7
Lattice="-2.718 3.580 3.724 2.718 -3.580 3.724 2.718 3.580 -3.724" Properties=species:S:1:pos:R:3 pbc="T T T"
Tb 0.000 0.000 0.000
Pd 2.718 1.315 0.031
Pd 0.000 0.000 2.616
Pd 1.323 3.580 1.368
Pd 1.394 0.000 5.092
Pd 0.000 2.265 3.755
Pb 2.718 0.000 2.469
```

Peak list (8 most intense, 10 to 90 degrees two-theta, by intensity)
d (Å), 2theta, intensity
2.345, 38.4, 100
2.405, 37.4, 90
3.580, 24.9, 78
2.774, 32.3, 68
2.195, 41.1, 46
1.885, 48.3, 36
1.871, 48.7, 35
1.743, 52.5, 31



Simulated powder diffractogram
Compound: TbPd12Pb3
Radiation: λ = 1.5418 Å (Cu Kα)
Structure: a cell relaxed with PBE

Structural model:
```
16
Lattice="4.118 0.000 0.000 0.000 4.118 0.000 0.000 0.000 16.443" Properties=species:S:1:pos:R:3 pbc="T T T"
Tb 0.000 0.000 0.000
Pd 0.000 2.059 2.075
Pd 0.000 2.059 6.170
Pd 0.000 2.059 10.273
Pd 0.000 2.059 14.369
Pd 2.059 0.000 2.075
Pd 2.059 0.000 6.170
Pd 2.059 0.000 10.273
Pd 2.059 0.000 14.369
Pd 2.059 2.059 0.000
Pd 2.059 2.059 4.135
Pd 2.059 2.059 8.222
Pd 2.059 2.059 12.309
Pb 0.000 0.000 4.120
Pb 0.000 0.000 8.222
Pb 0.000 0.000 12.323
```

Peak list (8 most intense, 10 to 90 degrees two-theta, by intensity)
d (Å), 2theta, intensity
2.376, 37.9, 100
2.058, 44.0, 49
1.455, 64.0, 32
1.242, 76.8, 25
1.240, 76.9, 12
1.188, 80.9, 11
4.116, 21.6, 8
2.910, 30.7, 7